Entry 1:
Diffraction record for Li2ZnCu3. The powder diffractogram is theoretical, not measured: it uses a cell relaxed with GGA-PBE and CuKα.
No peak broadening, texture or thermal motion is included.

Atomic structure:
a b c (Å): 4.9454 4.9454 12.2059
angles (deg): 90.00 90.00 120.00
Space group R-3m (No. 166, hexagonal axes)
Asymmetric unit:
Li 0.0000 0.0000 0.1245 [6 per cell]
Zn 0.0000 0.0000 0.5000 [3 per cell]
Cu 0.0000 0.5000 0.0000 [9 per cell]

Top 12 peaks for 2θ = 15–90°, by intensity:
21.99°, I = 100.0, hkl 1 0 1
44.86°, I = 65.0, hkl 2 0 2
42.82°, I = 61.7, hkl 1 1 3
52.18°, I = 37.4, hkl 0 2 4
21.84°, I = 31.8, hkl 0 0 3
44.54°, I = 22.1, hkl 0 0 6
42.63°, I = 21.4, hkl 0 1 5
57.42°, I = 13.6, hkl 2 1 1
76.69°, I = 12.6, hkl 2 0 8
77.15°, I = 12.4, hkl 2 2 0
69.70°, I = 9.0, hkl 1 2 5
69.82°, I = 8.9, hkl 3 0 3

=====

Entry 2:
Diffraction record for LuCu5. The powder diffractogram is theoretical, not measured: it uses a cell relaxed with GGA-PBE and CuKα.
No peak broadening, texture or thermal motion is included.

Atomic structure:
a b c (Å): 6.9746 6.9746 6.9746
angles (deg): 90.00 90.00 90.00
Space group F-43m (No. 216)
Asymmetric unit:
Lu 0.0000 0.0000 0.0000 [4 per cell]
Cu 0.1240 0.1240 0.3760 [16 per cell]
Cu 0.2500 0.2500 0.7500 [4 per cell]

Top 12 peaks for 2θ = 15–90°, by intensity:
43.01°, I = 100.0, hkl 3 1 1
36.44°, I = 46.5, hkl 2 2 0
70.11°, I = 29.7, hkl 5 1 1
45.03°, I = 25.0, hkl 2 2 2
77.40°, I = 21.5, hkl 4 4 0
65.57°, I = 16.3, hkl 4 2 2
25.54°, I = 11.2, hkl 2 0 0
22.07°, I = 11.1, hkl 1 1 1
88.70°, I = 7.3, hkl 6 2 0
59.25°, I = 4.2, hkl 4 2 0
57.61°, I = 3.3, hkl 3 3 1
81.67°, I = 2.4, hkl 5 3 1

=====

Entry 3:
Diffraction record for LuCu2O4. The powder diffractogram is theoretical, not measured: it uses a cell relaxed with GGA-PBE and CuKα.
No peak broadening, texture or thermal motion is included.

Atomic structure:
a b c (Å): 5.5942 5.5942 9.5190
angles (deg): 90.00 90.00 90.00
Space group I4_1/a (No. 88, origin choice 2)
Asymmetric unit:
Lu 0.0000 0.2500 0.1250 [4 per cell]
Cu 0.0000 0.0000 0.5000 [8 per cell]
O 0.1483 0.4528 0.3218 [16 per cell]

Top 12 peaks for 2θ = 15–90°, by intensity:
37.16°, I = 100.0, hkl 1 2 1
29.36°, I = 62.7, hkl 1 1 2
32.44°, I = 52.4, hkl 1 0 3
55.41°, I = 29.0, hkl 3 1 2
60.90°, I = 28.5, hkl 2 2 4
50.65°, I = 22.8, hkl 1 0 5
60.45°, I = 21.1, hkl 2 3 1
37.29°, I = 20.4, hkl 2 0 2
18.40°, I = 19.8, hkl 1 0 1
57.31°, I = 17.2, hkl 3 0 3
32.00°, I = 17.0, hkl 2 0 0
50.34°, I = 14.7, hkl 2 0 4

=====

Entry 4:
Diffraction record for Lu2CuTe2S2O14. The powder diffractogram is theoretical, not measured: it uses a cell relaxed with GGA-PBE and CuKα.
No peak broadening, texture or thermal motion is included.

Atomic structure:
a b c (Å): 5.3598 8.1651 8.2258
angles (deg): 114.87 106.22 96.81
Space group P-1 (No. 2)
Asymmetric unit:
Lu 0.1707 0.2335 0.0295 [2 per cell]
Cu 0.5000 0.5000 0.5000 [1 per cell]
Te 0.1270 0.7645 0.6451 [2 per cell]
S 0.4128 0.7265 0.2286 [2 per cell]
O 0.1139 0.4258 0.3469 [2 per cell]
O 0.1258 0.9247 0.8924 [2 per cell]
O 0.1876 0.8184 0.2199 [2 per cell]
O 0.2987 0.5252 0.0830 [2 per cell]
O 0.3839 0.1818 0.8223 [2 per cell]
O 0.4470 0.6949 0.7309 [2 per cell]
O 0.4584 0.2497 0.5772 [2 per cell]

Top 12 peaks for 2θ = 15–90°, by intensity:
23.16°, I = 100.0, hkl 1 -1 1
24.98°, I = 75.8, hkl 0 2 0
34.71°, I = 43.0, hkl -2 1 1
30.13°, I = 42.8, hkl 1 2 -2
35.46°, I = 35.8, hkl 1 -3 1
33.15°, I = 35.7, hkl 1 1 1
24.83°, I = 33.9, hkl 1 1 -2
31.49°, I = 33.8, hkl -1 1 2
25.37°, I = 28.5, hkl 1 0 -2
47.34°, I = 22.6, hkl 2 -2 2
39.13°, I = 21.4, hkl 1 3 -2
33.68°, I = 18.3, hkl 2 0 -1

=====

Entry 5:
Diffraction record for Lu5CuPb3. The powder diffractogram is theoretical, not measured: it uses a cell relaxed with GGA-PBE and CuKα.
No peak broadening, texture or thermal motion is included.

Atomic structure:
a b c (Å): 9.0173 9.0173 6.6471
angles (deg): 90.00 90.00 120.00
Space group P6_3/mcm (No. 193)
Asymmetric unit:
Lu 0.0000 0.2491 0.2500 [6 per cell]
Lu 0.3333 0.6667 0.0000 [4 per cell]
Cu 0.0000 0.0000 0.0000 [2 per cell]
Pb 0.0000 0.3961 0.7500 [6 per cell]

Top 12 peaks for 2θ = 15–90°, by intensity:
33.21°, I = 100.0, hkl 2 1 1
33.50°, I = 96.5, hkl 1 1 2
34.45°, I = 54.0, hkl 3 0 0
51.58°, I = 29.4, hkl 2 1 3
43.97°, I = 21.5, hkl 3 1 1
48.81°, I = 19.8, hkl 2 2 2
26.82°, I = 19.7, hkl 0 0 2
30.28°, I = 16.3, hkl 2 1 0
66.79°, I = 16.1, hkl 3 0 4
66.10°, I = 15.5, hkl 5 0 2
78.99°, I = 13.8, hkl 6 0 2
55.28°, I = 12.8, hkl 0 0 4

=====

Entry 6:
Diffraction record for LuCuPbSe3. The powder diffractogram is theoretical, not measured: it uses a cell relaxed with GGA-PBE and CuKα.
No peak broadening, texture or thermal motion is included.

Atomic structure:
a b c (Å): 4.0346 13.5950 10.4557
angles (deg): 90.00 90.00 90.00
Space group Cmcm (No. 63)
Asymmetric unit:
Lu 0.0000 0.0000 0.0000 [4 per cell]
Cu 0.0000 0.4679 0.2500 [4 per cell]
Pb 0.0000 0.2433 0.7500 [4 per cell]
Se 0.0000 0.0784 0.2500 [4 per cell]
Se 0.0000 0.3612 0.0604 [8 per cell]

Top 12 peaks for 2θ = 15–90°, by intensity:
34.33°, I = 100.0, hkl 0 0 4
30.88°, I = 84.6, hkl 1 3 1
21.44°, I = 50.5, hkl 0 2 2
43.70°, I = 38.7, hkl 0 4 4
34.64°, I = 35.2, hkl 1 1 3
43.53°, I = 31.4, hkl 0 6 2
44.93°, I = 28.7, hkl 2 0 0
53.32°, I = 23.3, hkl 1 3 5
39.53°, I = 22.0, hkl 1 3 3
29.65°, I = 21.1, hkl 1 3 0
64.35°, I = 19.9, hkl 2 6 2
28.76°, I = 17.5, hkl 0 2 3

=====

Entry 7:
Diffraction record for LuCuPbSe3. The powder diffractogram is theoretical, not measured: it uses a cell relaxed with GGA-PBE and CuKα.
No peak broadening, texture or thermal motion is included.

Atomic structure:
a b c (Å): 10.4484 4.0248 13.6100
angles (deg): 90.00 90.00 90.00
Space group Pnma (No. 62)
Asymmetric unit:
Lu 0.0066 0.2500 0.2477 [4 per cell]
Cu 0.2453 0.2500 0.7180 [4 per cell]
Pb 0.2407 0.7500 0.5075 [4 per cell]
Se 0.0535 0.2500 0.6129 [4 per cell]
Se 0.0675 0.7500 0.1099 [4 per cell]
Se 0.2445 0.7500 0.8281 [4 per cell]

Top 12 peaks for 2θ = 15–90°, by intensity:
34.36°, I = 100.0, hkl 4 0 0
30.91°, I = 86.2, hkl 1 1 3
21.44°, I = 50.7, hkl 2 0 2
43.71°, I = 37.6, hkl 4 0 4
34.69°, I = 34.5, hkl 3 1 1
43.49°, I = 31.0, hkl 2 0 6
45.05°, I = 28.9, hkl 0 2 0
53.37°, I = 21.9, hkl 5 1 3
39.57°, I = 21.8, hkl 3 1 3
29.67°, I = 20.8, hkl 0 1 3
64.41°, I = 19.7, hkl 2 2 6
28.78°, I = 17.2, hkl 3 0 2

=====

Entry 8:
Diffraction record for LuCuPbSe3. The powder diffractogram is theoretical, not measured: it uses a cell relaxed with GGA-PBE and CuKα.
No peak broadening, texture or thermal motion is included.

Atomic structure:
a b c (Å): 4.0371 13.5965 10.4486
angles (deg): 90.00 90.00 90.00
Space group Cmc2_1 (No. 36)
Asymmetric unit:
Lu 0.0000 0.0014 0.0000 [4 per cell]
Cu 0.0000 0.4664 0.7495 [4 per cell]
Pb 0.0000 0.2456 0.2581 [4 per cell]
Se 0.0000 0.0772 0.7476 [4 per cell]
Se 0.0000 0.3606 0.5598 [4 per cell]
Se 0.0000 0.3612 0.9404 [4 per cell]

Top 12 peaks for 2θ = 15–90°, by intensity:
34.34°, I = 100.0, hkl 0 0 4
30.87°, I = 89.1, hkl 1 3 1
21.45°, I = 52.2, hkl 0 2 2
43.71°, I = 41.5, hkl 0 4 4
34.65°, I = 36.4, hkl 1 1 3
43.53°, I = 33.6, hkl 0 6 2
44.90°, I = 30.0, hkl 2 0 0
29.63°, I = 24.4, hkl 1 3 0
53.34°, I = 24.0, hkl 1 3 5
39.54°, I = 23.3, hkl 1 3 3
64.33°, I = 21.4, hkl 2 6 2
28.77°, I = 19.0, hkl 0 2 3